Entry 1:
Diffraction record for TiSbO4. The XRD peak list is theoretical, not measured: it uses a crystal structure in Alexandria, relaxed with PBE and Cu Kα (weighted mean of Kα1 and Kα2).
Lines closer than 0.1° are merged.

Cell and atoms:
a b c (Å): 6.6423 6.6423 7.0406
angles (deg): 107.29 107.29 34.86
Fractional positions:
Ti 0.0979 0.0979 0.2069
Ti 0.9021 0.9021 0.7931
Sb 0.1924 0.1924 0.7663
Sb 0.8076 0.8076 0.2337
O 0.0570 0.0570 0.8839
O 0.1197 0.1197 0.4755
O 0.2656 0.2656 0.1792
O 0.3642 0.3642 0.7937
O 0.6358 0.6358 0.2063
O 0.7344 0.7344 0.8208
O 0.8803 0.8803 0.5245
O 0.9430 0.9430 0.1161

Main lines, in order of falling intensity (2θ from 10° to 90°):
| 2θ/deg | d (Å) | Rel. int. |
| --- | --- | --- |
| 26.65 | 3.345 | 100 |
| 23.55 | 3.778 | 96 |
| 14.71 | 6.022 | 92 |
| 28.47 | 3.136 | 69 |
| 28.24 | 3.160 | 56 |
| 31.66 | 2.826 | 49 |
| 45.60 | 1.990 | 43 |
| 25.93 | 3.437 | 42 |
| 26.13 | 3.410 | 29 |
| 55.86 | 1.646 | 28 |

Entry 2:
Diffraction record for NaBi2Pb. The XRD peak list is theoretical, not measured: it uses a crystal structure in Alexandria, relaxed with PBE and Cu Kα (weighted mean of Kα1 and Kα2).
Lines closer than 0.1° are merged.

Cell and atoms:
a b c (Å): 6.9594 10.2275 3.4896
angles (deg): 90.00 90.00 90.00
Fractional positions:
Na 0.0000 0.0000 0.0000
Na 0.5000 0.5000 0.0000
Bi 0.2500 0.2500 0.4814
Bi 0.2500 0.7500 0.4814
Bi 0.7500 0.2500 0.4814
Bi 0.7500 0.7500 0.4814
Pb 0.0000 0.5000 0.8348
Pb 0.5000 0.0000 0.8348

Main lines, in order of falling intensity (2θ from 10° to 90°):
| 2θ/deg | d (Å) | Rel. int. |
| --- | --- | --- |
| 31.06 | 2.879 | 100 |
| 36.46 | 2.464 | 30 |
| 51.51 | 1.774 | 23 |
| 15.40 | 5.754 | 22 |
| 35.10 | 2.557 | 20 |
| 60.46 | 1.531 | 16 |
| 25.55 | 3.487 | 14 |
| 62.34 | 1.490 | 13 |
| 40.64 | 2.220 | 13 |
| 29.95 | 2.984 | 11 |

Entry 3:
Diffraction record for Ca2Zn2Au. The XRD peak list is theoretical, not measured: it uses a crystal structure in Alexandria, relaxed with PBE and Cu Kα (weighted mean of Kα1 and Kα2).
Lines closer than 0.1° are merged.

Cell and atoms:
a b c (Å): 3.9188 4.3508 14.0097
angles (deg): 90.00 90.00 90.00
Fractional positions:
Ca 0.0000 0.0000 0.0000
Ca 0.0000 0.0000 0.2538
Ca 0.0000 0.5000 0.5000
Ca 0.0000 0.5000 0.7538
Zn 0.5000 0.0000 0.6276
Zn 0.5000 0.0000 0.8168
Zn 0.5000 0.5000 0.1276
Zn 0.5000 0.5000 0.3168
Au 0.5000 0.0000 0.4326
Au 0.5000 0.5000 0.9326

Main lines, in order of falling intensity (2θ from 10° to 90°):
| 2θ/deg | d (Å) | Rel. int. |
| --- | --- | --- |
| 31.38 | 2.851 | 100 |
| 12.64 | 7.005 | 73 |
| 38.20 | 2.356 | 69 |
| 36.36 | 2.471 | 58 |
| 22.69 | 3.919 | 55 |
| 21.39 | 4.155 | 49 |
| 44.89 | 2.019 | 45 |
| 61.56 | 1.506 | 33 |
| 34.34 | 2.611 | 32 |
| 41.51 | 2.175 | 32 |

Entry 4:
Diffraction record for RbTbCl4. The XRD peak list is theoretical, not measured: it uses a crystal structure in Alexandria, relaxed with PBE and Cu Kα (weighted mean of Kα1 and Kα2).
Lines closer than 0.1° are merged.

Cell and atoms:
a b c (Å): 6.7838 7.4409 9.0056
angles (deg): 104.99 112.06 90.01
Fractional positions:
Rb 0.2280 0.2503 0.0005
Rb 0.7720 0.7497 0.9995
Tb 0.0000 0.5000 0.5000
Tb 0.5000 0.0000 0.5000
Cl 0.1307 0.1616 0.3984
Cl 0.2679 0.6615 0.3982
Cl 0.2739 0.5550 0.8048
Cl 0.4702 0.9455 0.1954
Cl 0.5298 0.0545 0.8046
Cl 0.7261 0.4450 0.1952
Cl 0.7321 0.3385 0.6018
Cl 0.8693 0.8384 0.6016

Main lines, in order of falling intensity (2θ from 10° to 90°):
| 2θ/deg | d (Å) | Rel. int. |
| --- | --- | --- |
| 19.87 | 4.468 | 100 |
| 22.08 | 4.025 | 63 |
| 11.04 | 8.014 | 38 |
| 38.98 | 2.311 | 34 |
| 36.08 | 2.490 | 32 |
| 40.11 | 2.248 | 31 |
| 22.18 | 4.007 | 30 |
| 17.81 | 4.979 | 28 |
| 30.12 | 2.967 | 26 |
| 24.28 | 3.666 | 23 |

Entry 5:
Diffraction record for Ti3PtN. The XRD peak list is theoretical, not measured: it uses a crystal structure in Alexandria, relaxed with PBE and Cu Kα (weighted mean of Kα1 and Kα2).
Lines closer than 0.1° are merged.

Cell and atoms:
a b c (Å): 4.2751 4.2751 7.5403
angles (deg): 90.00 90.00 90.00
Fractional positions:
Ti 0.2500 0.2500 0.0022
Ti 0.2500 0.7500 0.2686
Ti 0.2500 0.7500 0.7314
Ti 0.7500 0.2500 0.2686
Ti 0.7500 0.2500 0.7314
Ti 0.7500 0.7500 0.9978
Pt 0.2500 0.2500 0.4800
Pt 0.7500 0.7500 0.5200
N 0.2500 0.7500 0.0000
N 0.7500 0.2500 0.0000

Main lines, in order of falling intensity (2θ from 10° to 90°):
| 2θ/deg | d (Å) | Rel. int. |
| --- | --- | --- |
| 38.16 | 2.358 | 100 |
| 11.74 | 7.540 | 76 |
| 42.28 | 2.138 | 46 |
| 31.89 | 2.806 | 35 |
| 74.57 | 1.273 | 27 |
| 23.60 | 3.770 | 21 |
| 66.09 | 1.414 | 19 |
| 47.02 | 1.933 | 18 |
| 29.55 | 3.023 | 17 |
| 61.33 | 1.511 | 14 |

Entry 6:
Diffraction record for YCd3Pd4. The XRD peak list is theoretical, not measured: it uses a crystal structure in Alexandria, relaxed with PBE and Cu Kα (weighted mean of Kα1 and Kα2).
Lines closer than 0.1° are merged.

Cell and atoms:
a b c (Å): 9.4858 6.5694 4.7438
angles (deg): 90.00 90.00 90.00
Fractional positions:
Y 0.0000 0.0000 0.0000
Y 0.5000 0.0000 0.0000
Cd 0.0000 0.5000 0.0000
Cd 0.2500 0.0000 0.4987
Cd 0.2500 0.5000 0.4981
Cd 0.5000 0.5000 0.0000
Cd 0.7500 0.0000 0.5013
Cd 0.7500 0.5000 0.5019
Pd 0.0000 0.2600 0.5000
Pd 0.0000 0.7400 0.5000
Pd 0.2500 0.2599 0.9979
Pd 0.2500 0.7401 0.9979
Pd 0.5000 0.2600 0.5000
Pd 0.5000 0.7400 0.5000
Pd 0.7500 0.2599 0.0021
Pd 0.7500 0.7401 0.0021

Main lines, in order of falling intensity (2θ from 10° to 90°):
| 2θ/deg | d (Å) | Rel. int. |
| --- | --- | --- |
| 38.36 | 2.347 | 100 |
| 37.94 | 2.372 | 52 |
| 68.81 | 1.364 | 34 |
| 54.73 | 1.677 | 17 |
| 69.63 | 1.350 | 16 |
| 82.14 | 1.173 | 10 |
| 55.99 | 1.642 | 8 |
| 81.10 | 1.186 | 5 |
| 13.48 | 6.569 | 1 |
| 49.72 | 1.834 | 1 |

Entry 7:
Diffraction record for Cd4Pb. The XRD peak list is theoretical, not measured: it uses a crystal structure in Alexandria, relaxed with PBE and Cu Kα (weighted mean of Kα1 and Kα2).
Lines closer than 0.1° are merged.

Cell and atoms:
a b c (Å): 3.2790 4.5896 16.4690
angles (deg): 90.00 90.00 90.00
Fractional positions:
Cd 0.0000 0.0000 0.1119
Cd 0.0000 0.0000 0.2980
Cd 0.0000 0.0000 0.7020
Cd 0.0000 0.0000 0.8881
Cd 0.5000 0.5000 0.2020
Cd 0.5000 0.5000 0.3881
Cd 0.5000 0.5000 0.6119
Cd 0.5000 0.5000 0.7980
Pb 0.0000 0.0000 0.5000
Pb 0.5000 0.5000 0.0000

Main lines, in order of falling intensity (2θ from 10° to 90°):
| 2θ/deg | d (Å) | Rel. int. |
| --- | --- | --- |
| 33.59 | 2.668 | 100 |
| 33.49 | 2.676 | 96 |
| 38.75 | 2.324 | 64 |
| 56.35 | 1.633 | 42 |
| 39.26 | 2.295 | 33 |
| 66.93 | 1.398 | 25 |
| 67.54 | 1.387 | 25 |
| 66.75 | 1.401 | 22 |
| 56.10 | 1.640 | 11 |
| 70.60 | 1.334 | 11 |

Entry 8:
Diffraction record for LaReN3. The XRD peak list is theoretical, not measured: it uses a crystal structure in Alexandria, relaxed with PBE and Cu Kα (weighted mean of Kα1 and Kα2).
Lines closer than 0.1° are merged.

Cell and atoms:
a b c (Å): 4.0932 5.7448 7.5101
angles (deg): 112.46 91.82 90.01
Fractional positions:
La 0.0000 0.0000 0.0000
La 0.4745 0.3508 0.6990
Re 0.5367 0.6579 0.1916
Re 0.9375 0.8174 0.5087
N 0.0114 0.7450 0.2304
N 0.4630 0.8649 0.4697
N 0.4956 0.3247 0.0973
N 0.5011 0.7556 0.9751
N 0.9732 0.1319 0.7247
N 0.9789 0.5803 0.6050

Main lines, in order of falling intensity (2θ from 10° to 90°):
| 2θ/deg | d (Å) | Rel. int. |
| --- | --- | --- |
| 27.35 | 3.261 | 100 |
| 16.70 | 5.308 | 72 |
| 24.72 | 3.602 | 49 |
| 35.95 | 2.498 | 45 |
| 31.14 | 2.872 | 44 |
| 34.48 | 2.602 | 35 |
| 27.71 | 3.220 | 34 |
| 47.13 | 1.928 | 32 |
| 33.29 | 2.692 | 28 |
| 46.22 | 1.964 | 26 |

Entry 9:
Diffraction record for Na2Tl3In2Hg4. The XRD peak list is theoretical, not measured: it uses a crystal structure in Alexandria, relaxed with PBE and Cu Kα (weighted mean of Kα1 and Kα2).
Lines closer than 0.1° are merged.

Cell and atoms:
a b c (Å): 5.3068 5.3068 12.6143
angles (deg): 90.00 90.00 120.00
Fractional positions:
Na 0.3333 0.6667 0.1540
Na 0.6667 0.3333 0.8460
Tl 0.0000 0.0000 0.0000
Tl 0.0000 0.0000 0.2718
Tl 0.0000 0.0000 0.7282
In 0.3333 0.6667 0.6420
In 0.6667 0.3333 0.3580
Hg 0.3333 0.6667 0.4074
Hg 0.3333 0.6667 0.8951
Hg 0.6667 0.3333 0.1049
Hg 0.6667 0.3333 0.5926

Main lines, in order of falling intensity (2θ from 10° to 90°):
| 2θ/deg | d (Å) | Rel. int. |
| --- | --- | --- |
| 33.78 | 2.653 | 100 |
| 34.49 | 2.600 | 83 |
| 23.96 | 3.714 | 41 |
| 60.89 | 1.522 | 33 |
| 49.05 | 1.857 | 31 |
| 60.43 | 1.532 | 19 |
| 20.57 | 4.318 | 16 |
| 81.44 | 1.182 | 14 |
| 62.26 | 1.491 | 13 |
| 71.05 | 1.327 | 12 |

Entry 10:
Diffraction record for ReHgBRuS. The XRD peak list is theoretical, not measured: it uses a crystal structure in Alexandria, relaxed with PBE and Cu Kα (weighted mean of Kα1 and Kα2).
Lines closer than 0.1° are merged.

Cell and atoms:
a b c (Å): 4.3541 3.3979 6.1821
angles (deg): 90.00 90.46 90.00
Fractional positions:
Re 0.0000 0.0000 0.0000
Hg 0.0049 0.5000 0.4320
B 0.9975 0.5000 0.7978
Ru 0.4989 0.5000 0.8950
S 0.5017 0.0000 0.1355

Main lines, in order of falling intensity (2θ from 10° to 90°):
| 2θ/deg | d (Å) | Rel. int. |
| --- | --- | --- |
| 36.49 | 2.462 | 100 |
| 36.63 | 2.454 | 100 |
| 30.01 | 2.978 | 75 |
| 28.89 | 3.091 | 71 |
| 20.40 | 4.354 | 65 |
| 41.48 | 2.177 | 47 |
| 14.33 | 6.182 | 34 |
| 39.41 | 2.286 | 33 |
| 51.92 | 1.761 | 30 |
| 35.76 | 2.511 | 24 |

Entry 11:
Diffraction record for Np3Tc2. The XRD peak list is theoretical, not measured: it uses a crystal structure in Alexandria, relaxed with PBE and Cu Kα (weighted mean of Kα1 and Kα2).
Lines closer than 0.1° are merged.

Cell and atoms:
a b c (Å): 4.5497 5.9691 7.2050
angles (deg): 75.24 89.82 89.72
Fractional positions:
Np 0.0000 0.0000 0.0000
Np 0.0477 0.4472 0.4079
Np 0.4090 0.8628 0.6131
Np 0.5596 0.6594 0.3631
Np 0.7270 0.1878 0.6948
Np 0.9355 0.3816 0.0628
Tc 0.4202 0.6960 0.0033
Tc 0.4998 0.2204 0.2467
Tc 0.9061 0.6640 0.7503
Tc 0.9865 0.9675 0.3926

Main lines, in order of falling intensity (2θ from 10° to 90°):
| 2θ/deg | d (Å) | Rel. int. |
| --- | --- | --- |
| 38.81 | 2.320 | 100 |
| 34.96 | 2.567 | 71 |
| 41.78 | 2.162 | 69 |
| 36.81 | 2.442 | 60 |
| 23.36 | 3.807 | 46 |
| 36.43 | 2.466 | 46 |
| 22.36 | 3.975 | 45 |
| 50.12 | 1.820 | 41 |
| 32.37 | 2.766 | 40 |
| 29.85 | 2.993 | 39 |

Entry 12:
Diffraction record for CaPdF6. The XRD peak list is theoretical, not measured: it uses a crystal structure in Alexandria, relaxed with PBE and Cu Kα (weighted mean of Kα1 and Kα2).
Lines closer than 0.1° are merged.

Cell and atoms:
a b c (Å): 5.7979 5.7979 5.7979
angles (deg): 55.13 55.13 55.13
Fractional positions:
Ca 0.0000 0.0000 0.0000
Pd 0.5000 0.5000 0.5000
F 0.1311 0.4164 0.7206
F 0.2794 0.8689 0.5836
F 0.4164 0.7206 0.1311
F 0.5836 0.2794 0.8689
F 0.7206 0.1311 0.4164
F 0.8689 0.5836 0.2794

Main lines, in order of falling intensity (2θ from 10° to 90°):
| 2θ/deg | d (Å) | Rel. int. |
| --- | --- | --- |
| 22.64 | 3.928 | 100 |
| 31.02 | 2.883 | 34 |
| 50.44 | 1.809 | 33 |
| 20.04 | 4.431 | 32 |
| 38.24 | 2.353 | 24 |
| 53.64 | 1.709 | 21 |
| 46.22 | 1.964 | 14 |
| 40.72 | 2.216 | 13 |
| 59.69 | 1.549 | 13 |
| 18.10 | 4.901 | 13 |

Entry 13:
Diffraction record for HgGeI. The XRD peak list is theoretical, not measured: it uses a crystal structure in Alexandria, relaxed with PBE and Cu Kα (weighted mean of Kα1 and Kα2).
Lines closer than 0.1° are merged.

Cell and atoms:
a b c (Å): 7.1377 8.4160 6.4601
angles (deg): 90.00 90.00 90.00
Fractional positions:
Hg 0.1039 0.1123 0.0000
Hg 0.3961 0.6123 0.5000
Hg 0.6039 0.3877 0.0000
Hg 0.8961 0.8877 0.5000
Ge 0.2296 0.8663 0.7465
Ge 0.2704 0.3663 0.2465
Ge 0.7296 0.6337 0.7465
Ge 0.7704 0.1337 0.2465
I 0.0648 0.6375 0.0437
I 0.4352 0.1375 0.5437
I 0.5648 0.8625 0.0437
I 0.9352 0.3625 0.5437

Main lines, in order of falling intensity (2θ from 10° to 90°):
| 2θ/deg | d (Å) | Rel. int. |
| --- | --- | --- |
| 28.23 | 3.161 | 100 |
| 28.57 | 3.124 | 52 |
| 37.29 | 2.412 | 37 |
| 43.71 | 2.071 | 29 |
| 27.62 | 3.230 | 21 |
| 21.35 | 4.163 | 19 |
| 49.22 | 1.851 | 18 |
| 52.43 | 1.745 | 18 |
| 42.99 | 2.104 | 16 |
| 37.56 | 2.395 | 13 |

Entry 14:
Diffraction record for LaSc3. The XRD peak list is theoretical, not measured: it uses a crystal structure in Alexandria, relaxed with PBE and Cu Kα (weighted mean of Kα1 and Kα2).
Lines closer than 0.1° are merged.

Cell and atoms:
a b c (Å): 3.4209 3.4209 10.7850
angles (deg): 90.00 90.00 120.00
Fractional positions:
La 0.0000 0.0000 0.0000
Sc 0.0000 0.0000 0.5000
Sc 0.3333 0.6667 0.2678
Sc 0.3333 0.6667 0.7322

Main lines, in order of falling intensity (2θ from 10° to 90°):
| 2θ/deg | d (Å) | Rel. int. |
| --- | --- | --- |
| 34.54 | 2.597 | 100 |
| 30.17 | 2.963 | 32 |
| 33.23 | 2.696 | 23 |
| 31.31 | 2.857 | 22 |
| 45.49 | 1.994 | 20 |
| 64.52 | 1.444 | 18 |
| 53.58 | 1.710 | 17 |
| 60.22 | 1.537 | 17 |
| 16.44 | 5.393 | 16 |
| 65.33 | 1.428 | 14 |